(1)
Structure and simulated powder diffraction line list of BaZr2Ti3Pb4O15 (a crystal structure in Alexandria, relaxed with PBE; Cu Kα).
Lines closer than 0.1° are merged.

Largest 10 diffraction maxima, in order of rising 2θ, 10 to 80 degrees two-theta:
2θ = 20.0°, I 320, (1 0 0)
2θ = 29.9°, I 1000, (1 1 0)
2θ = 30.1°, I 942, (1 0 5)
2θ = 31.5°, I 841, (0 1 5)
2θ = 37.6°, I 456, (1 1 5)
2θ = 40.6°, I 219, (2 0 0)
2θ = 44.8°, I 265, (0 2 0)
2θ = 52.3°, I 398, (2 1 5)
2θ = 54.9°, I 353, (1 2 5)
2θ = 55.3°, I 307, (1 1 10)

Atomic structure:
Lattice parameters (Å, degrees): 4.441 4.043 19.995 90.00 90.11 90.00
Space group Pm (No. 6)
Inequivalent atoms, fractional coordinates:
Ba 0.000 0.000 0.000 x1
Zr 0.496 0.500 0.894 x1
Zr 0.506 0.500 0.685 x1
Ti 0.515 0.500 0.484 x1
Ti 0.519 0.500 0.098 x1
Ti 0.519 0.500 0.291 x1
Pb 0.070 0.000 0.578 x1
Pb 0.070 0.000 0.787 x1
Pb 0.073 0.000 0.386 x1
Pb 0.082 0.000 0.195 x1
O 0.404 0.000 0.685 x1
O 0.409 0.000 0.893 x1
O 0.413 0.500 0.388 x1
O 0.413 0.500 0.579 x1
O 0.416 0.500 0.196 x1
O 0.417 0.500 0.789 x1
O 0.424 0.000 0.485 x1
O 0.430 0.000 0.293 x1
O 0.443 0.000 0.100 x1
O 0.453 0.500 0.002 x1
O 0.911 0.500 0.485 x1
O 0.914 0.500 0.292 x1
O 0.918 0.500 0.098 x1
O 0.945 0.500 0.899 x1
O 0.951 0.500 0.687 x1


(2)
Structure and simulated powder diffraction line list of Ba4TlPb3O12 (a crystal structure in Alexandria, relaxed with PBE; Cu Kα).
Lines closer than 0.1° are merged.

Largest 10 diffraction maxima, in order of rising 2θ, 10 to 80 degrees two-theta:
2θ = 20.3°, I 89, (2 0 0)
2θ = 28.9°, I 1000, (2 2 0)
2θ = 41.4°, I 279, (4 0 0)
2θ = 46.5°, I 44, (4 2 0)
2θ = 51.3°, I 423, (4 2 2)
2θ = 60.0°, I 181, (4 4 0)
2θ = 64.0°, I 21, (6 0 0)
2θ = 67.9°, I 188, (6 2 0)
2θ = 75.5°, I 61, (4 4 4)
2θ = 79.1°, I 9, (6 4 0)

Atomic structure:
Lattice parameters (Å, degrees): 8.728 8.728 8.728 90.00 90.00 90.00
Space group Im-3m (No. 229)
Inequivalent atoms, fractional coordinates:
Ba 0.250 0.250 0.250 x8
Tl 0.000 0.000 0.000 x2
Pb 0.000 0.000 0.500 x6
O 0.000 0.000 0.254 x12
O 0.000 0.250 0.500 x12


(3)
Structure and simulated powder diffraction line list of Ba2Tm3PbO8 (a crystal structure in Alexandria, relaxed with PBE; Cu Kα).
Lines closer than 0.1° are merged.

Largest 10 diffraction maxima, in order of rising 2θ, 10 to 80 degrees two-theta:
2θ = 14.0°, I 284, (0 0 3)
2θ = 23.9°, I 496, (1 0 4)
2θ = 25.8°, I 280, (1 1 0)
2θ = 27.9°, I 878, (0 1 5)
2θ = 29.5°, I 1000, (1 1 3)
2θ = 30.2°, I 741, (0 2 1)
2θ = 31.3°, I 565, (2 0 2)
2θ = 46.8°, I 461, (1 2 5)
2θ = 49.0°, I 489, (2 0 8)
2θ = 53.0°, I 484, (2 2 0)

Atomic structure:
Lattice parameters (Å, degrees): 6.9111 6.9111 18.9608 90.00 90.00 120.00
Space group R3m (No. 160, hexagonal axes)
Inequivalent atoms, fractional coordinates:
Ba 0.0000 0.0000 0.0000 x3
Ba 0.0000 0.0000 0.3739 x3
Tm 0.0101 0.5051 0.8759 x9
Pb 0.0000 0.0000 0.7685 x3
O 0.0000 0.0000 0.1458 x3
O 0.0000 0.0000 0.5924 x3
O 0.0115 0.5057 0.1425 x9
O 0.1868 0.3736 0.9380 x9


(4)
Structure and simulated powder diffraction line list of BaY4Pb3O12 (a crystal structure in Alexandria, relaxed with PBE; Cu Kα).
Lines closer than 0.1° are merged.

Largest 10 diffraction maxima, in order of rising 2θ, 10 to 80 degrees two-theta:
2θ = 20.7°, I 123, (2 0 0)
2θ = 29.4°, I 1000, (2 2 0)
2θ = 36.2°, I 81, (2 2 2)
2θ = 42.0°, I 238, (4 0 0)
2θ = 47.3°, I 62, (4 2 0)
2θ = 52.1°, I 483, (4 2 2)
2θ = 60.9°, I 142, (4 4 0)
2θ = 65.1°, I 45, (6 0 0)
2θ = 69.1°, I 189, (6 0 2)
2θ = 76.8°, I 49, (4 4 4)

Atomic structure:
Lattice parameters (Å, degrees): 8.600 8.600 8.600 90.00 90.00 90.00
Space group Im-3 (No. 204)
Inequivalent atoms, fractional coordinates:
Ba 0.000 0.000 0.000 x2
Y 0.250 0.250 0.250 x8
Pb 0.000 0.000 0.500 x6
O 0.000 0.179 0.306 x24